[1]
Structure and simulated PXRD pattern of NpNb2Tl2Se6 (a crystal structure in Alexandria, relaxed with GGA-PBE; a wavelength of 1.5418 Å).
Kinematic intensities with the Lorentz-polarization factor, no thermal factor.

Crystal structure
Cell lengths 6.4783, 6.4783, 8.2714 Å; angles 95.61, 95.61, 117.11 degrees
Positions (direct):
Np (0.0000, 0.0000, 0.0000)
Nb (0.3633, 0.6367, 0.0000)
Nb (0.6367, 0.3633, 0.0000)
Tl (0.1735, 0.8265, 0.5000)
Tl (0.8265, 0.1735, 0.5000)
Se (0.0505, 0.4108, 0.1873)
Se (0.2861, 0.2861, 0.7809)
Se (0.4108, 0.0505, 0.1873)
Se (0.5892, 0.9495, 0.8127)
Se (0.7139, 0.7139, 0.2191)
Se (0.9495, 0.5892, 0.8127)

Main lines, in order of rising 2θ (2θ from 10° to 90°):
2θ/deg, intensity
10.89, 136
15.57, 242
19.42, 304
21.88, 157
24.80, 141
30.77, 1000
31.44, 514
31.60, 162
38.09, 232
41.57, 398
47.43, 320
59.80, 126

[2]
Structure and simulated PXRD pattern of Ba2CdO3 (a crystal structure in Alexandria, relaxed with GGA-PBE; a wavelength of 1.5418 Å).
Kinematic intensities with the Lorentz-polarization factor, no thermal factor.

Crystal structure
Cell lengths 3.7273, 5.4894, 11.2388 Å; angles 90.00, 90.00, 90.00 degrees
Positions (direct):
Ba (0.0000, 0.0000, 0.1636)
Ba (0.0000, 0.0000, 0.8364)
Ba (0.5000, 0.5000, 0.3364)
Ba (0.5000, 0.5000, 0.6636)
Cd (0.0000, 0.0000, 0.5000)
Cd (0.5000, 0.5000, 0.0000)
O (0.0000, 0.5000, 0.1448)
O (0.0000, 0.5000, 0.5000)
O (0.0000, 0.5000, 0.8552)
O (0.5000, 0.0000, 0.0000)
O (0.5000, 0.0000, 0.3552)
O (0.5000, 0.0000, 0.6448)

Main lines, in order of rising 2θ (2θ from 10° to 90°):
2θ/deg, intensity
28.85, 914
28.96, 892
32.63, 566
33.93, 1000
47.78, 730
48.87, 173
55.95, 292
57.57, 278
57.75, 268
59.77, 175
60.00, 183
78.55, 222

[3]
Structure and simulated PXRD pattern of K3I2O9 (a crystal structure in Alexandria, relaxed with GGA-PBE; a wavelength of 1.5418 Å).
Kinematic intensities with the Lorentz-polarization factor, no thermal factor.

Crystal structure
Cell lengths 7.9557, 7.9557, 7.9557 Å; angles 82.83, 82.83, 82.83 degrees
Positions (direct):
K (0.0907, 0.7500, 0.4093)
K (0.2500, 0.5907, 0.9093)
K (0.4093, 0.0907, 0.7500)
K (0.5907, 0.9093, 0.2500)
K (0.7500, 0.4093, 0.0907)
K (0.9093, 0.2500, 0.5907)
I (0.1536, 0.1536, 0.1536)
I (0.3464, 0.3464, 0.3464)
I (0.6536, 0.6536, 0.6536)
I (0.8464, 0.8464, 0.8464)
O (0.0534, 0.8984, 0.7416)
O (0.1016, 0.2584, 0.9466)
O (0.1141, 0.3859, 0.2500)
O (0.2416, 0.3984, 0.5534)
O (0.2500, 0.1141, 0.3859)
O (0.2584, 0.9466, 0.1016)
O (0.3859, 0.2500, 0.1141)
O (0.3984, 0.5534, 0.2416)
O (0.4466, 0.7584, 0.6016)
O (0.5534, 0.2416, 0.3984)
O (0.6016, 0.4466, 0.7584)
O (0.6141, 0.7500, 0.8859)
O (0.7416, 0.0534, 0.8984)
O (0.7500, 0.8859, 0.6141)
O (0.7584, 0.6016, 0.4466)
O (0.8859, 0.6141, 0.7500)
O (0.8984, 0.7416, 0.0534)
O (0.9466, 0.1016, 0.2584)

Main lines, in order of rising 2θ (2θ from 10° to 90°):
2θ/deg, intensity
15.06, 259
16.85, 1000
25.10, 317
29.40, 498
30.39, 131
34.94, 168
38.44, 210
39.04, 251
42.79, 111
49.61, 288
58.72, 255
60.99, 144

[4]
Structure and simulated PXRD pattern of La8Co3Cl4 (a crystal structure in Alexandria, relaxed with GGA-PBE; a wavelength of 1.5418 Å).
Kinematic intensities with the Lorentz-polarization factor, no thermal factor.

Crystal structure
Cell lengths 9.1164, 9.1164, 9.1164 Å; angles 54.37, 54.37, 54.37 degrees
Positions (direct):
La (0.2129, 0.7435, 0.7435)
La (0.2277, 0.2277, 0.2277)
La (0.2565, 0.2565, 0.7871)
La (0.2565, 0.7871, 0.2565)
La (0.7435, 0.2129, 0.7435)
La (0.7435, 0.7435, 0.2129)
La (0.7723, 0.7723, 0.7723)
La (0.7871, 0.2565, 0.2565)
Co (0.0000, 0.0000, 0.5000)
Co (0.0000, 0.5000, 0.0000)
Co (0.5000, 0.0000, 0.0000)
Cl (0.0000, 0.0000, 0.0000)
Cl (0.3578, 0.3578, 0.3578)
Cl (0.5000, 0.5000, 0.5000)
Cl (0.6422, 0.6422, 0.6422)

Main lines, in order of rising 2θ (2θ from 10° to 90°):
2θ/deg, intensity
11.43, 515
22.97, 128
25.87, 647
29.14, 1000
36.80, 416
39.85, 292
43.46, 468
50.04, 210
53.18, 172
56.80, 118
71.03, 132
76.68, 139

[5]
Structure and simulated PXRD pattern of Y2PuPaS4 (a crystal structure in Alexandria, relaxed with GGA-PBE; a wavelength of 1.5418 Å).
Kinematic intensities with the Lorentz-polarization factor, no thermal factor.

Crystal structure
Cell lengths 6.7765, 3.8877, 6.8269 Å; angles 90.00, 109.15, 90.00 degrees
Positions (direct):
Y (0.0000, 0.0000, 0.0000)
Y (0.5000, 0.5000, 0.0000)
Pu (0.0000, 0.5000, 0.5000)
Pa (0.5000, 0.0000, 0.5000)
S (0.2499, 0.5000, 0.2477)
S (0.2520, 0.0000, 0.7517)
S (0.7480, 0.0000, 0.2483)
S (0.7501, 0.5000, 0.7523)

Main lines, in order of rising 2θ (2θ from 10° to 90°):
2θ/deg, intensity
13.73, 293
26.83, 134
27.66, 209
27.87, 206
28.03, 405
32.33, 1000
46.04, 123
46.23, 244
46.50, 239
46.73, 118
57.95, 124
67.67, 117

[6]
Structure and simulated PXRD pattern of HoBeGa (a crystal structure in Alexandria, relaxed with GGA-PBE; a wavelength of 1.5418 Å).
Kinematic intensities with the Lorentz-polarization factor, no thermal factor.

Crystal structure
Cell lengths 4.1616, 4.1616, 3.6156 Å; angles 90.00, 90.00, 120.00 degrees
Positions (direct):
Ho (0.0000, 0.0000, 0.0000)
Be (0.3333, 0.6667, 0.5000)
Ga (0.6667, 0.3333, 0.5000)

Main lines, in order of rising 2θ (2θ from 10° to 90°):
2θ/deg, intensity
24.69, 573
35.16, 1000
43.49, 364
50.48, 78
50.64, 132
56.99, 105
57.11, 246
68.79, 184
68.94, 59
74.43, 224
79.84, 61
84.83, 80

What did the third record say?
Structure and simulated PXRD pattern of K3I2O9 (a crystal structure in Alexandria, relaxed with GGA-PBE; a wavelength of 1.5418 Å).
Kinematic intensities with the Lorentz-polarization factor, no thermal factor.

Crystal structure
Cell lengths 7.9557, 7.9557, 7.9557 Å; angles 82.83, 82.83, 82.83 degrees
Positions (direct):
K (0.0907, 0.7500, 0.4093)
K (0.2500, 0.5907, 0.9093)
K (0.4093, 0.0907, 0.7500)
K (0.5907, 0.9093, 0.2500)
K (0.7500, 0.4093, 0.0907)
K (0.9093, 0.2500, 0.5907)
I (0.1536, 0.1536, 0.1536)
I (0.3464, 0.3464, 0.3464)
I (0.6536, 0.6536, 0.6536)
I (0.8464, 0.8464, 0.8464)
O (0.0534, 0.8984, 0.7416)
O (0.1016, 0.2584, 0.9466)
O (0.1141, 0.3859, 0.2500)
O (0.2416, 0.3984, 0.5534)
O (0.2500, 0.1141, 0.3859)
O (0.2584, 0.9466, 0.1016)
O (0.3859, 0.2500, 0.1141)
O (0.3984, 0.5534, 0.2416)
O (0.4466, 0.7584, 0.6016)
O (0.5534, 0.2416, 0.3984)
O (0.6016, 0.4466, 0.7584)
O (0.6141, 0.7500, 0.8859)
O (0.7416, 0.0534, 0.8984)
O (0.7500, 0.8859, 0.6141)
O (0.7584, 0.6016, 0.4466)
O (0.8859, 0.6141, 0.7500)
O (0.8984, 0.7416, 0.0534)
O (0.9466, 0.1016, 0.2584)

Main lines, in order of rising 2θ (2θ from 10° to 90°):
2θ/deg, intensity
15.06, 259
16.85, 1000
25.10, 317
29.40, 498
30.39, 131
34.94, 168
38.44, 210
39.04, 251
42.79, 111
49.61, 288
58.72, 255
60.99, 144

Repeat the fifth record exactly.
Structure and simulated PXRD pattern of Y2PuPaS4 (a crystal structure in Alexandria, relaxed with GGA-PBE; a wavelength of 1.5418 Å).
Kinematic intensities with the Lorentz-polarization factor, no thermal factor.

Crystal structure
Cell lengths 6.7765, 3.8877, 6.8269 Å; angles 90.00, 109.15, 90.00 degrees
Positions (direct):
Y (0.0000, 0.0000, 0.0000)
Y (0.5000, 0.5000, 0.0000)
Pu (0.0000, 0.5000, 0.5000)
Pa (0.5000, 0.0000, 0.5000)
S (0.2499, 0.5000, 0.2477)
S (0.2520, 0.0000, 0.7517)
S (0.7480, 0.0000, 0.2483)
S (0.7501, 0.5000, 0.7523)

Main lines, in order of rising 2θ (2θ from 10° to 90°):
2θ/deg, intensity
13.73, 293
26.83, 134
27.66, 209
27.87, 206
28.03, 405
32.33, 1000
46.04, 123
46.23, 244
46.50, 239
46.73, 118
57.95, 124
67.67, 117